(1)
LiHClF: computed XRD peak list (Cu Kα (weighted mean of Kα1 and Kα2)), based on the GGA-PBE geometry in Alexandria.
No peak broadening, texture or thermal motion is included.

Most intense lines, 2θ from 10° to 90°, most intense first:
27.88°, intensity 100, hkl 0 1 -1; 29.77°, intensity 84, hkl 1 0 -1; 29.49°, intensity 83, hkl 1 -1 0; 34.60°, intensity 47, hkl 0 1 1; 35.42°, intensity 44, hkl 0 0 2; 17.50°, intensity 44, hkl 0 0 1; 41.12°, intensity 41, hkl 1 0 1; 42.32°, intensity 37, hkl -1 1 2; 25.86°, intensity 33, hkl 0 1 0; 46.83°, intensity 29, hkl 1 -2 0

Structural model:
Cell: 3.420 3.923 5.429 Å, 93.88 106.71 115.73°
Space group P1 (No. 1)
Inequivalent atoms, fractional coordinates:
Li  0.000  0.000  0.000 (multiplicity 1)
H  0.128  0.689  0.560 (multiplicity 1)
Cl  0.842  0.473  0.225 (multiplicity 1)
F  0.294  0.819  0.758 (multiplicity 1)


(2)
Li7AlCd2: computed XRD peak list (Cu Kα (weighted mean of Kα1 and Kα2)), based on the GGA-PBE geometry in Alexandria.
No peak broadening, texture or thermal motion is included.

Most intense lines, 2θ from 10° to 90°, most intense first:
19.21°, intensity 100, hkl 1 3 0; 18.72°, intensity 59, hkl 2 0 0; 10.87°, intensity 33, hkl 1 1 0; 37.23°, intensity 27, hkl 1 3 1; 38.99°, intensity 26, hkl 2 6 0; 33.02°, intensity 26, hkl 3 3 0; 33.52°, intensity 25, hkl 1 1 1; 11.15°, intensity 24, hkl 0 2 0; 21.84°, intensity 17, hkl 2 2 0; 43.88°, intensity 16, hkl 1 5 1

Structural model:
Cell: 9.478 15.877 2.833 Å, 90.00 90.00 90.00°
Space group Cmmm (No. 65)
Inequivalent atoms, fractional coordinates:
Li  0.000  0.000  0.000 (multiplicity 2)
Li  0.000  0.325  0.500 (multiplicity 4)
Li  0.229  0.414  0.000 (multiplicity 8)
Al  0.000  0.500  0.500 (multiplicity 2)
Cd  0.000  0.174  0.000 (multiplicity 4)


(3)
Tc2RuO6: computed XRD peak list (Cu Kα (weighted mean of Kα1 and Kα2)), based on the GGA-PBE geometry in Alexandria.
No peak broadening, texture or thermal motion is included.

Most intense lines, 2θ from 10° to 90°, most intense first:
28.40°, intensity 100, hkl 1 1 1; 54.11°, intensity 64, hkl 3 0 2; 37.13°, intensity 50, hkl 3 0 0; 22.38°, intensity 31, hkl 0 1 1; 47.39°, intensity 24, hkl 2 2 1; 37.89°, intensity 23, hkl 0 0 2; 61.69°, intensity 21, hkl 1 4 1; 66.93°, intensity 18, hkl 3 3 0; 62.79°, intensity 10, hkl 1 1 3; 31.01°, intensity 10, hkl 2 0 1

Structural model:
Cell: 8.3888 8.3888 4.7449 Å, 90.00 90.00 120.00°
Space group P321 (No. 150)
Inequivalent atoms, fractional coordinates:
Tc  0.0000  0.3275  0.0000 (multiplicity 3)
Tc  0.0000  0.6612  0.5000 (multiplicity 3)
Ru  0.0000  0.0000  0.0000 (multiplicity 1)
Ru  0.3333  0.6667  0.4964 (multiplicity 2)
O  0.1026  0.5440  0.2454 (multiplicity 6)
O  0.1080  0.8761  0.2484 (multiplicity 6)
O  0.2140  0.4351  0.7433 (multiplicity 6)


(4)
ZrNbB: computed XRD peak list (Cu Kα (weighted mean of Kα1 and Kα2)), based on the GGA-PBE geometry in Alexandria.
No peak broadening, texture or thermal motion is included.

Most intense lines, 2θ from 10° to 90°, most intense first:
33.20°, intensity 100, hkl 0 0 2; 38.43°, intensity 77, hkl 1 1 0; 35.78°, intensity 65, hkl 0 2 0; 38.29°, intensity 56, hkl 0 2 -2; 28.62°, intensity 49, hkl 1 -1 0; 35.00°, intensity 32, hkl 1 0 1; 34.86°, intensity 31, hkl -1 1 1; 43.63°, intensity 30, hkl 1 1 -2; 43.79°, intensity 30, hkl 1 -2 2; 31.29°, intensity 27, hkl 1 0 -1

Structural model:
Cell: 3.281 5.691 5.861 Å, 111.86 90.25 106.72°
Space group P-1 (No. 2)
Inequivalent atoms, fractional coordinates:
Zr  0.224  0.448  0.255 (multiplicity 2)
Nb  0.487  0.978  0.243 (multiplicity 2)
B  0.088  0.175  0.537 (multiplicity 2)